Simulated PXRD pattern of Li2Mn3F8 for copper Kα, from a DFT-relaxed cell (PBE+U, Alexandria).

Top 6 peaks for 2θ = 10–90°, in order of falling intensity:
18.78 deg, rel. 100, (0 2 0); 58.92 deg, rel. 54, (3 1 2); 43.12 deg, rel. 45, (1 3 2); 33.24 deg, rel. 34, (1 1 2); 37.21 deg, rel. 31, (1 2 2); 28.46 deg, rel. 20, (1 2 1)

Cell lengths 5.4454, 9.4518, 6.5667 Å; angles 90.00, 90.00, 90.00 degrees
Space group Pnnm (No. 58)
Asymmetric unit:
Li 0.0176 0.1807 0.0000 x4
Mn 0.0000 0.0000 0.5000 x2
Mn 0.0000 0.5000 0.2648 x4
F 0.1485 0.3811 0.0000 x4
F 0.1686 0.1153 0.2574 x8
F 0.1794 0.3874 0.5000 x4